# 1
This entry pairs a crystal structure of TbY4N5 with its computed powder diffractogram. Radiation: Cu Kα. Structure: a cell relaxed with PBE.
Lines closer than 0.1° are merged.

Structural model:
a b c (Å): 3.4831 3.4831 24.6198
angles (deg): 90.00 90.00 90.00
Space group I4/mmm (No. 139)
Symmetry-distinct sites (fractional):
Tb  0.0000  0.0000  0.0000 x2
Y  0.0000  0.0000  0.2001 x4
Y  0.0000  0.0000  0.3997 x4
N  0.0000  0.0000  0.1003 x4
N  0.0000  0.0000  0.2999 x4
N  0.0000  0.0000  0.5000 x2

Principal peaks in the range 10° ≤ 2θ ≤ 90°, in order of falling intensity:
two_theta  intensity  hkl
31.46  100  1 0 5
36.49  85  1 1 0
52.55  57  2 0 0
62.55  44  2 1 5
88.85  24  3 1 0
65.67  19  2 0 10
86.04  18  3 0 5
77.53  8  2 2 0
25.83  3  1 0 1
14.39  3  0 0 4



# 2
This entry pairs a crystal structure of InCuSn4 with its computed powder diffractogram. Radiation: Cu Kα. Structure: a cell relaxed with PBE.
Lines closer than 0.1° are merged.

Structural model:
a b c (Å): 9.8816 11.3435 5.5718
angles (deg): 90.00 100.73 90.00
Space group C2/c (No. 15)
Symmetry-distinct sites (fractional):
In  0.0000  0.0717  0.2500 x4
Cu  0.0000  0.4890  0.2500 x4
Sn  0.1022  0.3001  0.5518 x8
Sn  0.2351  0.4101  0.0760 x8

Principal peaks in the range 10° ≤ 2θ ≤ 90°, in order of falling intensity:
two_theta  intensity  hkl
31.10  100  1 3 1
30.39  51  3 1 -1
40.40  38  4 2 0
38.85  29  2 4 -1
33.26  23  1 1 -2
38.07  23  2 2 -2
40.75  16  2 0 2
35.65  16  3 1 1
40.85  15  1 5 0
36.47  15  0 2 2



# 3
This entry pairs a crystal structure of Tm2GeSe4 with its computed powder diffractogram. Radiation: Cu Kα. Structure: a cell relaxed with PBE.
Lines closer than 0.1° are merged.

Structural model:
a b c (Å): 6.2054 6.2054 12.4652
angles (deg): 90.00 90.00 90.00
Space group I-42m (No. 121)
Symmetry-distinct sites (fractional):
Tm  0.0000  0.5000  0.2500 x4
Ge  0.0000  0.0000  0.0000 x2
Se  0.2432  0.2432  0.6227 x8

Principal peaks in the range 10° ≤ 2θ ≤ 90°, in order of falling intensity:
two_theta  intensity  hkl
24.82  100  1 1 2
41.08  77  2 2 0
48.64  32  3 1 2
14.21  21  0 0 2
20.24  20  1 1 0
74.92  17  4 2 4
48.48  16  1 1 6
32.23  14  2 0 2
65.42  13  3 1 6
35.33  10  1 1 4



# 4
This entry pairs a crystal structure of AcZn4Cu4 with its computed powder diffractogram. Radiation: Cu Kα. Structure: a cell relaxed with PBE.
Lines closer than 0.1° are merged.

Structural model:
a b c (Å): 5.9455 5.9455 8.6517
angles (deg): 90.00 90.00 90.00
Space group P4_2/nmc (No. 137, origin choice 2)
Symmetry-distinct sites (fractional):
Ac  0.2500  0.7500  0.2500 x2
Zn  0.0139  0.2500  0.1520 x8
Cu  0.0482  0.2500  0.4447 x8

Principal peaks in the range 10° ≤ 2θ ≤ 90°, in order of falling intensity:
two_theta  intensity  hkl
35.31  100  2 1 1
34.57  39  1 0 3
29.63  38  1 1 2
43.73  27  2 0 3
56.33  19  3 0 3
56.84  15  3 2 1
30.06  15  2 0 0
62.48  13  4 0 0
48.41  13  3 1 0
44.58  12  1 0 4



# 5
This entry pairs a crystal structure of Pm5Bi4P with its computed powder diffractogram. Radiation: Cu Kα. Structure: a cell relaxed with PBE.
Lines closer than 0.1° are merged.

Structural model:
a b c (Å): 10.0280 10.0280 6.3722
angles (deg): 90.00 90.00 90.00
Space group I4/m (No. 87)
Symmetry-distinct sites (fractional):
Pm  0.0000  0.0000  0.0000 x2
Pm  0.0966  0.7204  0.5000 x8
Bi  0.0930  0.6963  0.0000 x8
P  0.0000  0.0000  0.5000 x2

Principal peaks in the range 10° ≤ 2θ ≤ 90°, in order of falling intensity:
two_theta  intensity  hkl
40.15  100  3 1 2
28.14  87  3 1 0
28.01  44  0 0 2
49.72  35  2 4 2
65.82  27  6 2 2
73.03  20  1 7 2
65.58  16  3 1 4
72.83  11  2 4 4
58.18  10  6 2 0
86.63  7  6 2 4



Number 3 is which compound? Tm2GeSe4